This entry pairs a crystal structure of LiNi9O13 with its computed powder X-ray diffraction pattern. Radiation: Cu Kα X-rays. Structure: DFT lattice parameters and positions (PBE+U).
No peak broadening, texture or thermal motion is included.

Most intense lines, 2θ = 15–90°, by angle:
d [Å]  2θ (°)  I/Imax
4.842  18.32  403
2.494  36.01  1000
2.485  36.14  843
2.451  36.67  496
2.133  42.38  504
2.069  43.75  607
2.023  44.79  420
1.980  45.84  532
1.460  63.74  402
1.248  76.32  438

Crystal structure
```
LiNi9O13
1.0
4.9017 -1.4419 0.0000
4.9017 1.4419 0.0000
-2.5149 0.0000 15.8967
Li Ni O
1 9 13
Direct
0.0000 0.0000 0.0000
0.1408 0.1408 0.3518
0.1852 0.1852 0.5546
0.2104 0.2104 0.8909
0.2731 0.2731 0.1016
0.4477 0.4477 0.8066
0.5592 0.5592 0.1876
0.6857 0.6857 0.7178
0.8522 0.8522 0.2748
0.9362 0.9362 0.6315
0.0524 0.0524 0.7488
0.0726 0.0726 0.4521
0.2023 0.2023 0.2394
0.3058 0.3058 0.6672
0.3406 0.3406 0.9950
0.5025 0.5025 0.3009
0.5720 0.5720 0.6019
0.5833 0.5833 0.9101
0.6341 0.6341 0.0841
0.7696 0.7696 0.3792
0.7994 0.7994 0.5276
0.8067 0.8067 0.8302
0.9087 0.9087 0.1578
```

This entry pairs a crystal structure of LiNi9O13 with its computed powder X-ray diffraction pattern. Radiation: Cu Kα X-rays. Structure: DFT lattice parameters and positions (PBE+U).
No peak broadening, texture or thermal motion is included.

Most intense lines, 2θ = 15–90°, by angle:
d [Å]  2θ (°)  I/Imax
4.836  18.35  676
4.469  19.87  643
2.594  34.58  908
2.580  34.77  1000
2.442  36.81  767
2.276  39.60  643
2.137  42.29  664
2.115  42.76  564
2.078  43.56  813
1.994  45.48  792

Crystal structure
```
LiNi9O13
1.0
4.8833 -1.4506 0.0000
4.8833 1.4506 0.0000
-2.3423 0.0000 16.7761
Li Ni O
1 9 13
Direct
0.0000 0.0000 0.0000
0.0912 0.0912 0.7182
0.2392 0.2392 0.2846
0.3395 0.3395 0.6376
0.5271 0.5271 0.3582
0.5834 0.5834 0.5566
0.6045 0.6045 0.8822
0.6692 0.6692 0.1190
0.8429 0.8429 0.7960
0.9502 0.9502 0.2032
0.0336 0.0336 0.1089
0.1520 0.1520 0.3833
0.2079 0.2079 0.5429
0.2088 0.2088 0.8296
0.3019 0.3019 0.1729
0.4562 0.4562 0.7442
0.4678 0.4678 0.4551
0.5897 0.5897 0.2521
0.6680 0.6680 0.0004
0.7237 0.7237 0.6853
0.8899 0.8899 0.3100
0.9750 0.9750 0.8911
0.9774 0.9774 0.6070
```

This entry pairs a crystal structure of Li6Ni13O26 with its computed powder X-ray diffraction pattern. Radiation: Cu Kα X-rays. Structure: DFT lattice parameters and positions (PBE+U).
No peak broadening, texture or thermal motion is included.

Most intense lines, 2θ = 15–90°, by angle:
d [Å]  2θ (°)  I/Imax
4.889  18.14  1000
2.461  36.51  120
2.445  36.76  49
2.420  37.16  107
2.391  37.62  97
2.072  43.68  172
2.033  44.56  161
2.019  44.90  155
1.889  48.17  64
1.582  58.32  48

Crystal structure
```
Li6Ni13O26
1.0
4.9152 0.0000 0.0000
0.7844 9.8684 0.0000
1.3332 3.6930 9.1404
Li Ni O
6 13 26
Direct
0.0420 0.0763 0.3459
0.1229 0.2312 0.0348
0.1998 0.3951 0.7105
0.8002 0.6049 0.2895
0.8771 0.7688 0.9652
0.9580 0.9237 0.6541
0.0391 0.0761 0.8464
0.1153 0.2295 0.5395
0.1913 0.3850 0.2324
0.2687 0.5435 0.9236
0.3466 0.6985 0.6145
0.4221 0.8495 0.3068
0.5000 0.0000 0.0000
0.5779 0.1505 0.6932
0.6534 0.3015 0.3855
0.7313 0.4565 0.0764
0.8087 0.6150 0.7676
0.8847 0.7705 0.4605
0.9609 0.9239 0.1536
0.0253 0.5541 0.1022
0.0272 0.6008 0.6040
0.0904 0.7520 0.2956
0.0955 0.7121 0.7944
0.1682 0.9041 0.9886
0.1797 0.8659 0.4839
0.2449 0.0575 0.6799
0.2562 0.0175 0.1768
0.3254 0.2124 0.3718
0.3365 0.1682 0.8702
0.4044 0.3698 0.0645
0.4154 0.3167 0.5660
0.4963 0.5288 0.7456
0.5037 0.4712 0.2544
0.5846 0.6833 0.4340
0.5956 0.6302 0.9355
0.6635 0.8318 0.1298
0.6746 0.7876 0.6282
0.7438 0.9825 0.8232
0.7551 0.9425 0.3201
0.8203 0.1341 0.5161
0.8318 0.0959 0.0114
0.9045 0.2879 0.2056
0.9096 0.2480 0.7044
0.9728 0.3992 0.3960
0.9747 0.4459 0.8978
```

This entry pairs a crystal structure of LiNi5O10 with its computed powder X-ray diffraction pattern. Radiation: Cu Kα X-rays. Structure: DFT lattice parameters and positions (PBE+U).
No peak broadening, texture or thermal motion is included.

Most intense lines, 2θ = 15–90°, by angle:
d [Å]  2θ (°)  I/Imax
4.894  18.13  1000
2.425  37.07  107
2.408  37.35  100
2.393  37.59  96
2.044  44.31  147
2.034  44.54  144
2.020  44.87  140
1.875  48.56  60
1.592  57.91  49
1.468  63.35  73

Crystal structure
```
LiNi5O10
1.0
4.9156 0.0000 0.0000
-1.6332 5.6489 0.0000
-0.7823 -2.1525 6.0656
Li Ni O
1 5 10
Direct
0.0000 0.0000 0.0000
0.0000 0.5000 0.0000
0.1996 0.8963 0.4026
0.4006 0.3035 0.7969
0.5994 0.6965 0.2031
0.8004 0.1037 0.5974
0.0807 0.4227 0.7176
0.1006 0.9848 0.6808
0.2757 0.8208 0.1209
0.2944 0.3739 0.0704
0.4927 0.2143 0.5189
0.5073 0.7857 0.4811
0.7056 0.6261 0.9296
0.7243 0.1792 0.8791
0.8994 0.0152 0.3192
0.9193 0.5773 0.2824
```

This entry pairs a crystal structure of Li2NiO2 with its computed powder X-ray diffraction pattern. Radiation: Cu Kα X-rays. Structure: DFT lattice parameters and positions (PBE+U).
No peak broadening, texture or thermal motion is included.

Most intense lines, 2θ = 15–90°, by angle:
d [Å]  2θ (°)  I/Imax
2.629  34.11  266
2.556  35.11  658
2.315  38.90  266
2.173  41.55  1000
1.894  48.03  264
1.766  51.76  362
1.541  60.03  224
1.532  60.40  319
1.489  62.35  278
1.277  74.27  162

Crystal structure
```
Li2NiO2
1.0
1.5325 0.8848 6.3097
-1.5325 0.8848 6.3097
0.0000 -1.7696 6.3097
Li Ni O
2 1 2
Direct
0.2355 0.2355 0.2355
0.7645 0.7645 0.7645
0.0000 0.0000 0.0000
0.3974 0.3974 0.3974
0.6026 0.6026 0.6026
```

This entry pairs a crystal structure of LiNiO2 with its computed powder X-ray diffraction pattern. Radiation: Cu Kα X-rays. Structure: DFT lattice parameters and positions (PBE+U).
No peak broadening, texture or thermal motion is included.

Most intense lines, 2θ = 15–90°, by angle:
d [Å]  2θ (°)  I/Imax
4.765  18.62  1000
2.492  36.04  156
2.471  36.36  144
2.451  36.67  132
2.367  38.01  164
2.075  43.61  250
2.055  44.06  241
2.031  44.62  230
1.882  48.38  95
1.449  64.28  129

Crystal structure
```
LiNiO2
1.0
4.9901 0.0000 0.0000
-1.5655 5.6020 0.0000
-0.8735 -1.7726 6.1968
Li Ni O
5 5 10
Direct
0.0000 0.0000 0.0000
0.2016 0.3978 0.3950
0.3917 0.7942 0.7962
0.6083 0.2058 0.2038
0.7984 0.6022 0.6050
0.0000 0.5000 0.0000
0.1981 0.8977 0.3994
0.4017 0.3029 0.7992
0.5983 0.6971 0.2008
0.8019 0.1023 0.6006
0.0897 0.9617 0.6815
0.0927 0.4504 0.7229
0.2756 0.8228 0.1026
0.2837 0.3619 0.0891
0.4869 0.7661 0.4963
0.5131 0.2339 0.5037
0.7163 0.6381 0.9109
0.7244 0.1772 0.8974
0.9073 0.5496 0.2771
0.9103 0.0383 0.3185
```

This entry pairs a crystal structure of Li13Ni9O22 with its computed powder X-ray diffraction pattern. Radiation: Cu Kα X-rays. Structure: DFT lattice parameters and positions (PBE+U).
No peak broadening, texture or thermal motion is included.

Most intense lines, 2θ = 15–90°, by angle:
d [Å]  2θ (°)  I/Imax
4.760  18.64  1000
2.468  36.40  140
2.454  36.61  132
2.435  36.92  126
2.054  44.08  273
2.044  44.31  270
2.028  44.70  260
1.877  48.50  86
1.451  64.21  217
1.446  64.41  73

Crystal structure
```
Li13Ni9O22
1.0
6.4472 0.0000 0.0000
-2.0530 6.1412 0.0000
-2.5721 -2.0961 9.4630
Li Ni O
13 9 22
Direct
0.0000 0.0000 0.0000
0.0901 0.4522 0.6351
0.1784 0.9065 0.2770
0.1804 0.9071 0.7733
0.2731 0.3615 0.9075
0.3518 0.8128 0.5448
0.4613 0.2642 0.1865
0.5387 0.7358 0.8135
0.6482 0.1872 0.4552
0.7269 0.6385 0.0925
0.8196 0.0929 0.2267
0.8216 0.0935 0.7230
0.9099 0.5478 0.3649
0.0000 0.0000 0.5000
0.0920 0.4572 0.1364
0.2647 0.3578 0.4047
0.3625 0.8208 0.0444
0.4495 0.2626 0.6825
0.5505 0.7374 0.3175
0.6375 0.1792 0.9556
0.7353 0.6422 0.5953
0.9080 0.5428 0.8636
0.0304 0.7430 0.5641
0.0622 0.7173 0.0652
0.1381 0.1721 0.6895
0.1415 0.2107 0.2026
0.2161 0.6409 0.8568
0.2314 0.6283 0.3337
0.2978 0.0861 0.4798
0.3468 0.0840 0.9831
0.3937 0.5653 0.1109
0.4156 0.5338 0.6086
0.4876 0.9772 0.2354
0.5124 0.0228 0.7646
0.5844 0.4662 0.3914
0.6063 0.4347 0.8891
0.6532 0.9160 0.0169
0.7022 0.9139 0.5202
0.7686 0.3717 0.6663
0.7839 0.3591 0.1432
0.8585 0.7893 0.7974
0.8619 0.8279 0.3105
0.9378 0.2827 0.9348
0.9696 0.2570 0.4359
```

This entry pairs a crystal structure of LiNiPO4 with its computed powder X-ray diffraction pattern. Radiation: Cu Kα X-rays. Structure: DFT lattice parameters and positions (PBE+U).
No peak broadening, texture or thermal motion is included.

Most intense lines, 2θ = 15–90°, by angle:
d [Å]  2θ (°)  I/Imax
4.405  20.16  1000
3.570  24.94  387
2.932  30.48  475
2.779  32.21  262
2.638  33.99  899
2.500  35.93  456
2.202  40.98  174
1.720  53.25  432
1.704  53.80  199
1.545  59.87  191

Crystal structure
```
LiNiPO4
1.0
0.0000 5.5577 4.6573
2.7986 0.0000 4.6573
2.7986 5.5577 0.0000
Li Ni P O
2 2 2 8
Direct
0.0000 0.0000 0.0000
0.2500 0.2500 0.2500
0.6248 0.6248 0.3752
0.8748 0.8748 0.6252
0.3079 0.3079 0.6921
0.5579 0.5579 0.9421
0.1073 0.3140 0.0348
0.1914 0.6382 0.6457
0.2152 0.7061 0.1427
0.3140 0.1073 0.5439
0.6043 0.7253 0.0586
0.6382 0.1914 0.5247
0.7061 0.2152 0.9360
0.7253 0.6043 0.6118
```